# 1
# GdGe
Theoretical powder diffraction line list, Cu Kα (λ = 1.5418 Å). Input: a structure optimized by DFT (GGA-PBE).

Structural model:
abc: 5.857 5.857 4.006
angles: 90.00 90.00 136.45
Sites, in units of the cell vectors:
Gd  0.139  0.861  0.750
Gd  0.861  0.139  0.250
Ge  0.417  0.583  0.750
Ge  0.583  0.417  0.250

Peak list (6 most intense, 2θ = 10–90°, in order of rising 2θ)
27.66 deg, I = 21.5; 31.47 deg, I = 100.0; 32.15 deg, I = 35.0; 32.93 deg, I = 30.2; 39.41 deg, I = 51.7; 41.56 deg, I = 25.4

# 2
# MgIrN2
Theoretical powder diffraction line list, Cu Kα (λ = 1.5418 Å). Input: a structure optimized by DFT (GGA-PBE).

Structural model:
abc: 5.639 6.593 5.536
angles: 90.00 90.00 90.00
Sites, in units of the cell vectors:
Mg  0.092  0.128  0.000
Mg  0.408  0.628  0.500
Mg  0.592  0.372  0.000
Mg  0.908  0.872  0.500
Ir  0.079  0.655  0.026
Ir  0.421  0.155  0.526
Ir  0.579  0.845  0.026
Ir  0.921  0.345  0.526
N  0.065  0.600  0.369
N  0.105  0.125  0.381
N  0.395  0.625  0.881
N  0.435  0.100  0.869
N  0.565  0.900  0.369
N  0.605  0.375  0.381
N  0.895  0.875  0.881
N  0.935  0.400  0.869

Peak list (6 most intense, 2θ = 10–90°, in order of rising 2θ)
20.73 deg, I = 34.5; 20.95 deg, I = 100.0; 31.43 deg, I = 23.9; 32.34 deg, I = 38.1; 35.47 deg, I = 74.1; 35.74 deg, I = 38.7

Repeat the first record exactly.
# GdGe
Theoretical powder diffraction line list, Cu Kα (λ = 1.5418 Å). Input: a structure optimized by DFT (GGA-PBE).

Structural model:
abc: 5.857 5.857 4.006
angles: 90.00 90.00 136.45
Sites, in units of the cell vectors:
Gd  0.139  0.861  0.750
Gd  0.861  0.139  0.250
Ge  0.417  0.583  0.750
Ge  0.583  0.417  0.250

Peak list (6 most intense, 2θ = 10–90°, in order of rising 2θ)
27.66 deg, I = 21.5; 31.47 deg, I = 100.0; 32.15 deg, I = 35.0; 32.93 deg, I = 30.2; 39.41 deg, I = 51.7; 41.56 deg, I = 25.4